No. 1
Simulated powder X-ray diffraction pattern
Compound: AcSmTh2N4
Radiation: a wavelength of 1.5418 Å
Structure: the GGA-PBE geometry in Alexandria
Neutral-atom scattering factors, no anomalous dispersion.

Crystal structure
```
8
Lattice="6.4194 0.0000 0.0000 0.0000 3.7075 0.0000 -2.1396 0.0000 6.0576" Properties=species:S:1:pos:R:3 pbc="T T T"
Ac 0.0000 0.0000 0.0000
Sm -1.0698 1.8537 3.0288
Th 2.1399 0.0000 3.0288
Th 3.2097 1.8537 0.0000
N 0.1252 0.0000 4.5384
N 1.2162 1.8537 1.6119
N 3.0637 1.8537 4.4458
N 4.1547 0.0000 1.5192
```

Most intense lines, 10 to 80 degrees two-theta, low angle first:
| 2theta | I_rel |
| --- | --- |
| 29.51 | 100.0 |
| 34.20 | 67.2 |
| 49.14 | 48.3 |
| 58.37 | 47.7 |
| 61.23 | 16.6 |
| 79.71 | 20.1 |


No. 2
Simulated powder X-ray diffraction pattern
Compound: Ac2SmZrN4
Radiation: a wavelength of 1.5418 Å
Structure: the GGA-PBE geometry in Alexandria
Neutral-atom scattering factors, no anomalous dispersion.

Crystal structure
```
8
Lattice="6.2438 0.0000 0.0000 0.0000 3.6002 0.0000 -2.0652 0.0000 6.0780" Properties=species:S:1:pos:R:3 pbc="T T T"
Ac 0.0000 0.0000 0.0000
Ac 3.1219 1.8001 0.0000
Sm -1.0326 1.8001 3.0390
Zr 2.0893 0.0000 3.0390
N 0.1479 0.0000 4.3457
N 1.1349 1.8001 1.7478
N 3.0436 1.8001 4.3302
N 4.0306 0.0000 1.7323
```

Most intense lines, 10 to 80 degrees two-theta, low angle first:
| 2theta | I_rel |
| --- | --- |
| 29.39 | 36.4 |
| 30.28 | 100.0 |
| 34.85 | 94.8 |
| 49.57 | 22.7 |
| 50.68 | 32.5 |
| 59.71 | 21.2 |


No. 3
Simulated powder X-ray diffraction pattern
Compound: Ac8Sn3N2
Radiation: a wavelength of 1.5418 Å
Structure: the GGA-PBE geometry in Alexandria
Neutral-atom scattering factors, no anomalous dispersion.

Crystal structure
```
13
Lattice="3.7538 2.1673 9.6859 -3.7538 2.1673 9.6859 0.0000 -4.3345 9.6859" Properties=species:S:1:pos:R:3 pbc="T T T"
Ac 0.0000 0.0000 5.2874
Ac 0.0000 -2.1576 11.5155
Ac -1.8686 1.0788 11.5155
Ac -1.8686 -1.0788 17.5422
Ac 1.8686 1.0788 11.5155
Ac 1.8686 -1.0788 17.5422
Ac 0.0000 2.1577 17.5422
Ac 0.0000 0.0000 23.7703
Sn 0.0000 0.0000 8.6607
Sn 0.0000 0.0000 14.5289
Sn 0.0000 0.0000 20.3970
N 0.0000 0.0000 2.8919
N 0.0000 0.0000 26.1659
```

Most intense lines, 10 to 80 degrees two-theta, low angle first:
| 2theta | I_rel |
| --- | --- |
| 25.45 | 26.8 |
| 27.63 | 32.3 |
| 28.13 | 100.0 |
| 30.12 | 81.0 |
| 48.50 | 40.8 |
| 56.73 | 27.0 |


No. 4
Simulated powder X-ray diffraction pattern
Compound: Ac6Sn3N
Radiation: a wavelength of 1.5418 Å
Structure: the GGA-PBE geometry in Alexandria
Neutral-atom scattering factors, no anomalous dispersion.

Crystal structure
```
20
Lattice="6.4708 -7.9631 0.0000 6.4708 7.9631 0.0000 0.0000 0.0000 7.7730" Properties=species:S:1:pos:R:3 pbc="T T T"
Ac 6.4708 7.1766 3.8865
Ac 4.4915 3.8200 3.6828
Ac 6.4708 4.4504 7.1719
Ac 4.4104 0.3823 7.2790
Ac 4.4104 -0.3823 3.3924
Ac 8.4501 3.8200 3.6828
Ac 4.4915 -3.8200 7.5693
Ac 8.5311 0.3823 7.2790
Ac 8.5311 -0.3823 3.3924
Ac 6.4708 -4.4504 3.2854
Ac 8.4501 -3.8200 7.5693
Ac 6.4708 -7.1766 0.0000
Sn 2.2174 1.6752 5.1719
Sn 2.2174 -1.6752 1.2854
Sn 6.4708 1.8804 1.7450
Sn 6.4708 -1.8804 5.6315
Sn 10.7242 1.6752 5.1719
Sn 10.7242 -1.6752 1.2854
N 6.4708 4.8647 4.7346
N 6.4708 -4.8647 0.8481
```

Most intense lines, 10 to 80 degrees two-theta, low angle first:
| 2theta | I_rel |
| --- | --- |
| 22.88 | 33.8 |
| 24.25 | 29.1 |
| 25.13 | 28.9 |
| 29.04 | 100.0 |
| 31.49 | 61.2 |
| 32.19 | 56.8 |


- Number 3 is which compound?
  Ac8Sn3N2